(1)
This entry pairs a crystal structure of Sc2Cd3Au4 with its computed powder diffractogram. Radiation: Cu Kα (λ = 1.5418 Å). Structure: a DFT-relaxed cell (PBE, Alexandria).
No peak broadening, texture or thermal motion is included.

Crystal structure
```
Sc2Cd3Au4
1.0
4.1196 -2.3896 0.0000
4.1196 2.3896 0.0000
-0.0615 0.0000 9.0061
Sc Cd Au
2 3 4
direct
0.1664 0.1664 0.2859
0.8336 0.8336 0.7141
0.1671 0.1671 0.9302
0.5000 0.5000 0.5000
0.8329 0.8329 0.0698
0.1670 0.1670 0.6064
0.4993 0.4993 0.1648
0.5007 0.5007 0.8352
0.8330 0.8330 0.3936
```

The 10 most intense peaks (2θ from 15° to 90°), low angle first:
2θ 23.7, 3.761 Å, intensity 30
2θ 36.9, 2.434 Å, intensity 51
2θ 37.1, 2.425 Å, intensity 100
2θ 37.6, 2.390 Å, intensity 49
2θ 37.8, 2.381 Å, intensity 97
2θ 53.8, 1.705 Å, intensity 34
2θ 66.2, 1.412 Å, intensity 18
2θ 67.6, 1.386 Å, intensity 34
2θ 67.8, 1.381 Å, intensity 17
2θ 68.0, 1.378 Å, intensity 17

***

(2)
This entry pairs a crystal structure of GaAgS2O8 with its computed powder diffractogram. Radiation: Cu Kα (λ = 1.5418 Å). Structure: a DFT-relaxed cell (PBE, Alexandria).
No peak broadening, texture or thermal motion is included.

Crystal structure
```
GaAgS2O8
1.0
4.0704 -2.5877 0.0000
4.0704 2.5877 0.0000
-0.2278 0.0000 7.5732
Ga Ag S O
1 1 2 8
direct
0.0000 0.0000 0.0000
0.0000 0.0000 0.5000
0.3476 0.3476 0.7929
0.6524 0.6524 0.2071
0.2216 0.6917 0.8113
0.2328 0.2328 0.9418
0.2693 0.2693 0.6179
0.3083 0.7784 0.1887
0.6917 0.2216 0.8113
0.7307 0.7307 0.3821
0.7672 0.7672 0.0582
0.7784 0.3083 0.1887
```

The 10 most intense peaks (2θ from 15° to 90°), low angle first:
2θ 20.3, 4.367 Å, intensity 95
2θ 21.8, 4.069 Å, intensity 50
2θ 23.3, 3.810 Å, intensity 71
2θ 25.2, 3.540 Å, intensity 25
2θ 31.0, 2.884 Å, intensity 76
2θ 31.5, 2.838 Å, intensity 100
2θ 31.8, 2.814 Å, intensity 26
2θ 34.7, 2.588 Å, intensity 42
2θ 37.4, 2.402 Å, intensity 63
2θ 42.3, 2.136 Å, intensity 30

***

(3)
This entry pairs a crystal structure of Sc6Cd2Fe with its computed powder diffractogram. Radiation: Cu Kα (λ = 1.5418 Å). Structure: a DFT-relaxed cell (PBE, Alexandria).
No peak broadening, texture or thermal motion is included.

Crystal structure
```
Sc6Cd2Fe
1.0
3.4806 0.0000 0.0000
0.0000 6.9868 4.0611
0.0000 -6.9868 4.0611
Sc Cd Fe
6 2 1
direct
0.0000 0.0000 0.0000
0.0000 0.5234 0.7566
0.0000 0.7566 0.5234
0.5000 0.1420 0.7598
0.5000 0.3696 0.3696
0.5000 0.7598 0.1420
0.0000 0.0919 0.4277
0.0000 0.4277 0.0919
0.5000 0.7681 0.7681
```

The 10 most intense peaks (2θ from 15° to 90°), low angle first:
2θ 21.9, 4.061 Å, intensity 31
2θ 22.0, 4.041 Å, intensity 58
2θ 33.9, 2.644 Å, intensity 78
2θ 34.0, 2.637 Å, intensity 78
2θ 36.4, 2.470 Å, intensity 100
2θ 38.5, 2.341 Å, intensity 63
2θ 38.7, 2.329 Å, intensity 31
2θ 42.8, 2.112 Å, intensity 27
2θ 42.9, 2.106 Å, intensity 58
2θ 67.0, 1.397 Å, intensity 33